SmPuGa3: theoretical X-ray diffraction stick pattern (Cu Kα X-rays), based on a cell relaxed with PBE.
No peak broadening, texture or thermal motion is included.

Top 10 peaks for 2θ = 5–70°, sorted by position:
Position (°2θ), intensity
6.47, 32
24.01, 28
31.94, 17
33.29, 100
33.56, 64
38.76, 54
40.90, 29
49.83, 17
53.91, 34
64.86, 26

Atomic structure:
a = 13.786 Å, b = 13.786 Å, c = 4.413 Å
α = 90.00°, β = 90.00°, γ = 164.74°
Atoms (fractional coordinates):
Sm 0.071 0.929 0.750
Sm 0.929 0.071 0.250
Pu 0.214 0.786 0.250
Pu 0.786 0.214 0.750
Ga 0.330 0.670 0.250
Ga 0.381 0.619 0.750
Ga 0.476 0.524 0.750
Ga 0.524 0.476 0.250
Ga 0.619 0.381 0.250
Ga 0.670 0.330 0.750